# 1
Computed X-ray powder pattern of GdMgPd for Cu Kα (weighted mean of Kα1 and Kα2), from a DFT-relaxed cell (PBE, the Materials Project).

Structure:
abc: 7.534 7.534 4.096
angles: 90.00 90.00 120.00
Atoms (fractional coordinates):
Gd 0.000 0.587 0.000
Gd 0.413 0.413 0.000
Gd 0.587 0.000 0.000
Mg 0.000 0.243 0.500
Mg 0.243 0.000 0.500
Mg 0.757 0.757 0.500
Pd 0.000 0.000 0.000
Pd 0.333 0.667 0.500
Pd 0.667 0.333 0.500

Most intense lines, 2θ from 10° to 80°, low angle first:
two_theta, intensity
23.62, 35
27.34, 24
32.29, 86
35.17, 100
36.43, 24
41.52, 29
42.80, 25
44.22, 23
55.52, 25
66.51, 24

***

# 2
Computed X-ray powder pattern of GdMgRh2 for Cu Kα (weighted mean of Kα1 and Kα2), from a DFT-relaxed cell (PBE, the Materials Project).

Structure:
abc: 4.675 4.675 4.675
angles: 60.00 60.00 60.00
Atoms (fractional coordinates):
Gd 0.000 0.000 0.000
Mg 0.500 0.500 0.500
Rh 0.250 0.250 0.250
Rh 0.750 0.750 0.750

Most intense lines, 2θ from 10° to 80°, low angle first:
two_theta, intensity
23.31, 26
26.97, 1
38.52, 100
45.51, 14
55.61, 17
61.10, 6
69.68, 34
74.59, 4

***

# 3
Computed X-ray powder pattern of Gd2MgRu for Cu Kα (weighted mean of Kα1 and Kα2), from a DFT-relaxed cell (PBE, the Materials Project).

Structure:
abc: 5.085 5.085 5.085
angles: 60.00 60.00 60.00
Atoms (fractional coordinates):
Gd 0.250 0.250 0.250
Gd 0.750 0.750 0.750
Mg 0.000 0.000 0.000
Ru 0.500 0.500 0.500

Most intense lines, 2θ from 10° to 80°, low angle first:
two_theta, intensity
21.40, 8
24.76, 21
35.30, 100
41.65, 4
43.60, 6
50.78, 18
55.72, 2
57.30, 9
63.36, 36
74.66, 11

***

# 4
Computed X-ray powder pattern of Gd2MgSe4 for Cu Kα (weighted mean of Kα1 and Kα2), from a DFT-relaxed cell (PBE, the Materials Project).

Structure:
abc: 7.569 7.569 7.569
angles: 110.66 110.66 107.11
Atoms (fractional coordinates):
Gd 0.007 0.625 0.882
Gd 0.375 0.257 0.382
Gd 0.743 0.125 0.118
Gd 0.875 0.993 0.618
Mg 0.250 0.750 0.500
Mg 0.500 0.500 0.000
Se 0.007 0.878 0.263
Se 0.122 0.385 0.129
Se 0.135 0.372 0.629
Se 0.257 0.993 0.871
Se 0.493 0.865 0.237
Se 0.615 0.743 0.737
Se 0.628 0.257 0.763
Se 0.743 0.507 0.371

Most intense lines, 2θ from 10° to 80°, low angle first:
two_theta, intensity
14.24, 29
20.63, 28
24.61, 31
31.61, 58
32.75, 55
32.89, 100
38.04, 83
39.02, 41
48.75, 29
52.81, 21

***

# 5
Computed X-ray powder pattern of Gd2MgSi2 for Cu Kα (weighted mean of Kα1 and Kα2), from a DFT-relaxed cell (PBE, the Materials Project).

Structure:
abc: 7.232 7.232 4.248
angles: 90.00 90.00 90.00
Atoms (fractional coordinates):
Gd 0.179 0.321 0.000
Gd 0.321 0.821 0.000
Gd 0.679 0.179 0.000
Gd 0.821 0.679 0.000
Mg 0.000 0.000 0.500
Mg 0.500 0.500 0.500
Si 0.117 0.617 0.500
Si 0.383 0.117 0.500
Si 0.617 0.883 0.500
Si 0.883 0.383 0.500

Most intense lines, 2θ from 10° to 80°, low angle first:
two_theta, intensity
20.91, 34
24.62, 25
27.58, 45
32.52, 48
34.87, 100
39.40, 18
42.56, 17
51.47, 17
52.15, 20
56.79, 27

***

# 6
Computed X-ray powder pattern of GdMgTl for Cu Kα (weighted mean of Kα1 and Kα2), from a DFT-relaxed cell (PBE, the Materials Project).

Structure:
abc: 7.638 7.638 4.727
angles: 90.00 90.00 120.00
Atoms (fractional coordinates):
Gd 0.000 0.429 0.000
Gd 0.429 0.000 0.000
Gd 0.571 0.571 0.000
Mg 0.000 0.757 0.500
Mg 0.243 0.243 0.500
Mg 0.757 0.000 0.500
Tl 0.000 0.000 0.000
Tl 0.333 0.667 0.500
Tl 0.667 0.333 0.500

Most intense lines, 2θ from 10° to 80°, low angle first:
two_theta, intensity
23.13, 24
23.29, 39
30.08, 47
33.06, 100
38.07, 25
40.88, 50
47.62, 17
57.13, 17
62.53, 15
64.51, 26

***

# 7
Computed X-ray powder pattern of Gd2MgTl for Cu Kα (weighted mean of Kα1 and Kα2), from a DFT-relaxed cell (PBE, the Materials Project).

Structure:
abc: 5.400 5.400 5.400
angles: 60.00 60.00 60.00
Atoms (fractional coordinates):
Gd 0.250 0.250 0.250
Gd 0.750 0.750 0.750
Mg 0.000 0.000 0.000
Tl 0.500 0.500 0.500

Most intense lines, 2θ from 10° to 80°, low angle first:
two_theta, intensity
20.14, 24
33.18, 100
39.12, 14
47.63, 18
52.21, 6
59.28, 38
63.28, 5
69.65, 12
73.34, 5
79.35, 17

***

# 8
Computed X-ray powder pattern of GdMn2 for Cu Kα (weighted mean of Kα1 and Kα2), from a DFT-relaxed cell (PBE, the Materials Project).

Structure:
abc: 5.144 5.144 5.144
angles: 60.00 60.00 60.00
Atoms (fractional coordinates):
Gd 0.125 0.125 0.125
Gd 0.875 0.875 0.875
Mn 0.000 0.500 0.500
Mn 0.500 0.000 0.500
Mn 0.500 0.500 0.000
Mn 0.500 0.500 0.500

Most intense lines, 2θ from 10° to 80°, low angle first:
two_theta, intensity
21.15, 18
34.88, 70
41.15, 100
43.07, 13
50.16, 1
55.02, 5
62.54, 26
66.82, 30
73.66, 22
77.64, 4

***

# 9
Computed X-ray powder pattern of Gd6Mn23 for Cu Kα (weighted mean of Kα1 and Kα2), from a DFT-relaxed cell (PBE, the Materials Project).

Structure:
abc: 8.603 8.603 8.603
angles: 60.00 60.00 60.00
Atoms (fractional coordinates):
Gd 0.210 0.210 0.790
Gd 0.210 0.790 0.210
Gd 0.210 0.790 0.790
Gd 0.790 0.210 0.210
Gd 0.790 0.210 0.790
Gd 0.790 0.790 0.210
Mn 0.000 0.000 0.500
Mn 0.000 0.500 0.000
Mn 0.000 0.500 0.500
Mn 0.142 0.619 0.619
Mn 0.177 0.177 0.177
Mn 0.177 0.177 0.468
Mn 0.177 0.468 0.177
Mn 0.381 0.381 0.381
Mn 0.381 0.381 0.858
Mn 0.381 0.858 0.381
Mn 0.468 0.177 0.177
Mn 0.500 0.000 0.000
Mn 0.500 0.000 0.500
Mn 0.500 0.500 0.000
Mn 0.500 0.500 0.500
Mn 0.532 0.823 0.823
Mn 0.619 0.142 0.619
Mn 0.619 0.619 0.142
Mn 0.619 0.619 0.619
Mn 0.823 0.532 0.823
Mn 0.823 0.823 0.532
Mn 0.823 0.823 0.823
Mn 0.858 0.381 0.381

Most intense lines, 2θ from 10° to 80°, low angle first:
two_theta, intensity
25.36, 31
29.36, 23
32.07, 22
36.17, 31
38.45, 87
42.01, 100
44.69, 14
53.81, 16
62.48, 20
65.05, 22

***

# 10
Computed X-ray powder pattern of SmGdMn2Ni8 for Cu Kα (weighted mean of Kα1 and Kα2), from a DFT-relaxed cell (PBE, the Materials Project).

Structure:
abc: 3.940 4.989 8.639
angles: 90.00 90.00 90.00
Atoms (fractional coordinates):
Sm 0.000 0.000 0.000
Gd 0.000 0.500 0.500
Mn 0.000 0.000 0.334
Mn 0.000 0.500 0.833
Ni 0.000 0.000 0.666
Ni 0.000 0.500 0.168
Ni 0.500 0.000 0.502
Ni 0.500 0.247 0.748
Ni 0.500 0.254 0.249
Ni 0.500 0.500 0.002
Ni 0.500 0.746 0.249
Ni 0.500 0.753 0.748

Most intense lines, 2θ from 10° to 80°, low angle first:
two_theta, intensity
30.71, 54
36.01, 31
41.82, 39
42.92, 100
46.08, 26
59.83, 14
61.47, 15
63.97, 21
69.50, 22
76.36, 16

***

# 11
Computed X-ray powder pattern of Pr3Gd3Mn23 for Cu Kα (weighted mean of Kα1 and Kα2), from a DFT-relaxed cell (PBE, the Materials Project).

Structure:
abc: 8.615 8.615 8.615
angles: 60.81 60.81 60.81
Atoms (fractional coordinates):
Pr 0.065 0.468 0.468
Pr 0.468 0.065 0.468
Pr 0.468 0.468 0.065
Gd 0.057 0.057 0.473
Gd 0.057 0.473 0.057
Gd 0.473 0.057 0.057
Mn 0.084 0.084 0.797
Mn 0.084 0.797 0.084
Mn 0.086 0.086 0.086
Mn 0.127 0.644 0.644
Mn 0.262 0.764 0.764
Mn 0.263 0.263 0.773
Mn 0.263 0.773 0.263
Mn 0.397 0.887 0.887
Mn 0.440 0.440 0.736
Mn 0.440 0.736 0.440
Mn 0.450 0.450 0.450
Mn 0.644 0.127 0.644
Mn 0.644 0.644 0.127
Mn 0.644 0.644 0.644
Mn 0.736 0.440 0.440
Mn 0.764 0.262 0.764
Mn 0.764 0.764 0.262
Mn 0.766 0.766 0.766
Mn 0.773 0.263 0.263
Mn 0.797 0.084 0.084
Mn 0.885 0.885 0.885
Mn 0.887 0.397 0.887
Mn 0.887 0.887 0.397

Most intense lines, 2θ from 10° to 80°, low angle first:
two_theta, intensity
25.07, 41
29.15, 42
31.64, 30
35.82, 31
37.99, 94
38.14, 57
38.35, 24
41.42, 100
41.96, 97
44.35, 35

***

# 12
Computed X-ray powder pattern of Gd3Ti2MnSi3 for Cu Kα (weighted mean of Kα1 and Kα2), from a DFT-relaxed cell (PBE, the Materials Project).

Structure:
abc: 8.485 8.485 5.845
angles: 90.00 90.00 120.00
Atoms (fractional coordinates):
Gd 0.000 0.286 0.250
Gd 0.000 0.714 0.750
Gd 0.286 0.000 0.250
Gd 0.286 0.286 0.750
Gd 0.714 0.000 0.750
Gd 0.714 0.714 0.250
Ti 0.333 0.667 0.000
Ti 0.333 0.667 0.500
Ti 0.667 0.333 0.000
Ti 0.667 0.333 0.500
Mn 0.000 0.000 0.000
Mn 0.000 0.000 0.500
Si 0.000 0.382 0.750
Si 0.000 0.618 0.250
Si 0.382 0.000 0.750
Si 0.382 0.382 0.250
Si 0.618 0.000 0.250
Si 0.618 0.618 0.750

Most intense lines, 2θ from 10° to 80°, low angle first:
two_theta, intensity
12.04, 19
25.95, 100
30.59, 19
35.80, 53
36.69, 72
37.36, 68
53.37, 19
56.84, 17
73.58, 18
75.81, 18